Record 1
This entry pairs a crystal structure of NpAg2I6 with its theoretical powder diffraction line list. Radiation: Cu Ka. Structure: a DFT-relaxed cell (GGA-PBE, OQMD).
No peak broadening, texture or thermal motion is included.

Principal peaks in the range 2θ = 10–90°, sorted by position:
2θ 11.8, d = 7.481 Å, intensity 22; 2θ 13.8, d = 6.429 Å, intensity 24; 2θ 23.8, d = 3.738 Å, intensity 30; 2θ 25.9, d = 3.440 Å, intensity 100; 2θ 33.3, d = 2.690 Å, intensity 28; 2θ 40.3, d = 2.237 Å, intensity 42

Structural model:
```
NpAg2I6
1.0
3.8744 2.2369 7.4807
-3.8744 2.2369 7.4807
0.0000 -4.4738 7.4807
Np Ag I
1 2 6
Cartesian
0.0000 0.0000 0.0000 Np
0.0000 0.0000 13.4778 Ag
0.0000 0.0000 16.5124 Ag
-2.5608 0.1988 9.2921 I
-1.4606 -2.3406 13.1411 I
1.1083 -2.3171 9.2921 I
-1.2967 2.4352 13.1411 I
1.4525 2.1183 9.2921 I
2.7574 -0.0946 13.1411 I
```

***

Record 2
This entry pairs a crystal structure of Ag5IO6 with its theoretical powder diffraction line list. Radiation: Cu Ka. Structure: a DFT-relaxed cell (GGA-PBE, OQMD).
No peak broadening, texture or thermal motion is included.

Principal peaks in the range 2θ = 10–90°, sorted by position:
2θ 28.0, d = 3.184 Å, intensity 25; 2θ 31.3, d = 2.856 Å, intensity 37; 2θ 33.1, d = 2.707 Å, intensity 17; 2θ 34.5, d = 2.598 Å, intensity 100; 2θ 39.4, d = 2.289 Å, intensity 39; 2θ 53.6, d = 1.710 Å, intensity 30

Structural model:
```
Ag5IO6
1.0
2.9614 1.7098 10.8279
-2.9614 1.7098 10.8279
0.0000 -3.4195 10.8279
Ag I O
10 2 12
Cartesian
-2.0827 -0.1879 13.5349 Ag
0.0000 0.0000 4.8313 Ag
-0.8787 -1.8976 18.9489 Ag
0.0000 0.0000 11.4106 Ag
1.2041 -1.7097 13.5349 Ag
-1.2041 1.7098 18.9489 Ag
0.0000 0.0000 21.0732 Ag
0.8787 1.8976 13.5349 Ag
0.0000 0.0000 27.6525 Ag
2.0827 0.1879 18.9489 Ag
0.0000 0.0000 0.0000 I
0.0000 0.0000 16.2419 I
-1.9666 0.4710 9.7296 O
-0.9948 -1.2387 15.1436 O
0.5754 -1.9386 9.7296 O
-1.5702 0.2421 17.3402 O
-1.3912 -1.4676 22.7542 O
0.5754 -1.4809 17.3402 O
-0.5754 1.4809 15.1436 O
1.3912 1.4676 9.7296 O
1.5702 -0.2421 15.1436 O
-0.5754 1.9386 22.7542 O
0.9948 1.2387 17.3402 O
1.9666 -0.4710 22.7542 O
```

***

Record 3
This entry pairs a crystal structure of AgIO3 with its theoretical powder diffraction line list. Radiation: Cu Ka. Structure: a DFT-relaxed cell (GGA-PBE, OQMD).
No peak broadening, texture or thermal motion is included.

Principal peaks in the range 2θ = 10–90°, sorted by position:
2θ 29.7, d = 3.009 Å, intensity 23; 2θ 30.0, d = 2.974 Å, intensity 100; 2θ 31.3, d = 2.862 Å, intensity 29; 2θ 50.8, d = 1.796 Å, intensity 21; 2θ 54.9, d = 1.674 Å, intensity 23; 2θ 58.5, d = 1.579 Å, intensity 21

Structural model:
```
AgIO3
1.0
5.7235 0.0000 0.0000
0.0000 6.0171 0.0000
0.0000 0.0000 17.0686
Ag I O
8 8 24
Cartesian
0.1204 1.2609 0.6549 Ag
0.1204 1.7477 9.1892 Ag
2.7413 4.2694 0.6549 Ag
2.7413 4.7562 9.1892 Ag
2.9821 1.2609 7.8794 Ag
2.9821 1.7477 16.4136 Ag
5.6030 4.2694 7.8794 Ag
5.6030 4.7562 16.4136 Ag
0.0285 1.0922 5.6795 I
0.0285 1.9163 14.2138 I
2.8332 4.1008 5.6795 I
2.8332 4.9249 14.2138 I
2.8902 1.0922 2.8548 I
2.8902 1.9163 11.3891 I
5.6950 4.1008 2.8548 I
5.6950 4.9249 11.3891 I
0.7705 0.5535 7.2959 O
0.7705 2.4551 15.8302 O
0.9262 3.5275 10.6008 O
0.9262 5.4982 2.0665 O
1.4273 0.9704 13.4677 O
1.4273 2.0382 4.9334 O
1.4344 3.9790 13.4677 O
1.4344 5.0467 4.9334 O
1.9355 0.5189 10.6008 O
1.9355 2.4897 2.0665 O
2.0912 3.5620 7.2959 O
2.0912 5.4637 15.8302 O
3.6322 0.5535 1.2384 O
3.6322 2.4551 9.7727 O
3.7880 3.5275 15.0021 O
3.7880 5.4982 6.4678 O
4.2891 0.9704 12.1352 O
4.2891 2.0382 3.6009 O
4.2961 3.9790 12.1352 O
4.2961 5.0467 3.6009 O
4.7972 0.5189 15.0021 O
4.7972 2.4897 6.4678 O
4.9530 3.5620 1.2384 O
4.9530 5.4637 9.7727 O
```

***

Record 4
This entry pairs a crystal structure of AgIO3 with its theoretical powder diffraction line list. Radiation: Cu Ka. Structure: a DFT-relaxed cell (GGA-PBE, OQMD).
No peak broadening, texture or thermal motion is included.

Principal peaks in the range 2θ = 10–90°, sorted by position:
2θ 28.3, d = 3.150 Å, intensity 100; 2θ 30.2, d = 2.962 Å, intensity 87; 2θ 30.8, d = 2.907 Å, intensity 58; 2θ 31.4, d = 2.852 Å, intensity 34; 2θ 44.5, d = 2.036 Å, intensity 59; 2θ 52.1, d = 1.756 Å, intensity 41

Structural model:
```
AgIO3
1.0
15.1121 0.0000 0.0000
0.0000 7.1209 0.0000
0.0000 0.0000 5.7033
Ag I O
8 8 24
Cartesian
3.0554 0.7606 0.0000 Ag
3.1113 4.4877 0.0545 Ag
4.4447 4.4877 2.9061 Ag
4.5006 0.7606 2.8516 Ag
10.6115 6.3602 0.0000 Ag
10.6674 2.6332 0.0545 Ag
12.0007 2.6332 2.9061 Ag
12.0566 6.3602 2.8516 Ag
1.2729 6.1518 2.7457 I
1.2995 2.6334 2.3677 I
6.2565 2.6334 5.2194 I
6.2832 6.1518 5.5973 I
8.8289 0.9690 2.7457 I
8.8556 4.4874 2.3677 I
13.8125 4.4874 5.2194 I
13.8392 0.9690 5.5973 I
0.9328 1.2392 1.1758 O
0.9510 4.0221 1.1886 O
1.5441 0.4464 3.9085 O
1.7406 4.7276 3.8475 O
2.9321 6.2274 1.8936 O
3.1185 2.5942 2.0629 O
4.4375 2.5942 4.9146 O
4.6239 6.2274 4.7453 O
5.8154 4.7276 0.9959 O
6.0119 0.4464 1.0569 O
6.6050 4.0221 4.0402 O
6.6233 1.2392 4.0274 O
8.4888 5.8817 1.1758 O
8.5070 3.0987 1.1886 O
9.1002 6.6744 3.9085 O
9.2967 2.3932 3.8475 O
10.4882 0.8934 1.8936 O
10.6746 4.5266 2.0629 O
11.9935 4.5266 4.9146 O
12.1800 0.8934 4.7453 O
13.3714 2.3932 0.9959 O
13.5679 6.6744 1.0569 O
14.1611 3.0987 4.0402 O
14.1793 5.8817 4.0274 O
```

***

Record 5
This entry pairs a crystal structure of AgPbIO with its theoretical powder diffraction line list. Radiation: Cu Ka. Structure: a DFT-relaxed cell (GGA-PBE, OQMD).
No peak broadening, texture or thermal motion is included.

Principal peaks in the range 2θ = 10–90°, sorted by position:
2θ 22.0, d = 4.038 Å, intensity 55; 2θ 26.7, d = 3.333 Å, intensity 100; 2θ 31.3, d = 2.861 Å, intensity 85; 2θ 31.4, d = 2.849 Å, intensity 57; 2θ 41.6, d = 2.171 Å, intensity 49; 2θ 41.7, d = 2.165 Å, intensity 58

Structural model:
```
AgPbIO
1.0
5.7241 0.0000 0.0000
0.0000 6.6665 0.0000
0.0000 0.0000 11.3948
Ag Pb I O
4 4 4 4
Cartesian
1.3488 1.6666 1.4171 Ag
1.5132 4.9999 7.1144 Ag
4.2108 1.6666 4.2803 Ag
4.3752 4.9999 9.9777 Ag
1.1579 1.6666 9.8014 Pb
1.7041 4.9999 4.1040 Pb
4.0200 1.6666 7.2908 Pb
4.5661 4.9999 1.5934 Pb
1.3292 1.6666 4.3385 I
1.5328 4.9999 10.0359 I
4.1912 1.6666 1.3589 I
4.3948 4.9999 7.0563 I
0.9566 4.9999 2.1067 O
1.9054 1.6666 7.8041 O
3.8186 4.9999 3.5907 O
4.7675 1.6666 9.2880 O
```

***

Record 6
This entry pairs a crystal structure of Ag4SeI2O4 with its theoretical powder diffraction line list. Radiation: Cu Ka. Structure: a DFT-relaxed cell (GGA-PBE, OQMD).
No peak broadening, texture or thermal motion is included.

Principal peaks in the range 2θ = 10–90°, sorted by position:
2θ 24.9, d = 3.579 Å, intensity 100; 2θ 30.7, d = 2.914 Å, intensity 93; 2θ 31.8, d = 2.812 Å, intensity 66; 2θ 33.8, d = 2.654 Å, intensity 67; 2θ 34.4, d = 2.606 Å, intensity 98; 2θ 37.8, d = 2.380 Å, intensity 68

Structural model:
```
Ag4SeI2O4
1.0
9.3408 0.0000 0.0000
0.0000 13.1004 0.0000
0.0000 0.0000 7.1585
Ag Se I O
16 4 8 16
Cartesian
0.2233 0.2388 0.0000 Ag
0.4196 9.9372 5.9319 Ag
1.2335 5.4337 5.3774 Ag
2.1884 2.5306 6.4500 Ag
2.4820 9.0808 2.8708 Ag
3.4369 11.9839 1.7982 Ag
4.2508 3.3870 2.3527 Ag
4.4471 6.7890 3.5792 Ag
4.8937 6.3115 0.0000 Ag
5.0900 9.7135 5.9319 Ag
5.9039 1.1165 5.3774 Ag
6.8588 4.0196 6.4500 Ag
7.1524 10.5699 2.8708 Ag
8.1073 7.6667 1.7982 Ag
8.9212 3.1632 2.3527 Ag
9.1175 12.8617 3.5792 Ag
1.6779 5.6433 1.7580 Se
2.9925 12.1935 5.3372 Se
6.3483 0.9069 1.7580 Se
7.6629 7.4572 5.3372 Se
0.4379 10.6655 1.6830 I
2.1591 1.4605 1.9490 I
2.5113 8.0107 5.5282 I
4.2325 4.1153 5.2622 I
5.1083 8.9851 1.6830 I
6.8295 5.0897 1.9490 I
7.1817 11.6399 5.5282 I
8.9029 2.4349 5.2622 I
1.0630 4.7740 0.4585 O
1.1451 4.8366 3.1386 O
1.2186 7.2500 1.7353 O
1.2750 12.1216 5.3255 O
3.3954 5.5714 1.7462 O
3.4518 0.6998 5.3145 O
3.5254 11.3868 6.7178 O
3.6074 11.3242 4.0377 O
5.7334 1.7762 0.4585 O
5.8155 1.7136 3.1386 O
5.8890 12.4007 1.7353 O
5.9454 7.5290 5.3255 O
8.0658 0.9788 1.7462 O
8.1222 5.8504 5.3145 O
8.1958 8.2638 6.7178 O
8.2778 8.3265 4.0377 O
```

***

Record 7
This entry pairs a crystal structure of Ag5PS4I2 with its theoretical powder diffraction line list. Radiation: Cu Ka. Structure: a DFT-relaxed cell (GGA-PBE, OQMD).
No peak broadening, texture or thermal motion is included.

Principal peaks in the range 2θ = 10–90°, sorted by position:
2θ 15.6, d = 5.680 Å, intensity 33; 2θ 26.9, d = 3.318 Å, intensity 100; 2θ 27.9, d = 3.199 Å, intensity 60; 2θ 35.9, d = 2.502 Å, intensity 40; 2θ 38.6, d = 2.330 Å, intensity 63; 2θ 44.9, d = 2.017 Å, intensity 32

Structural model:
```
Ag5PS4I2
1.0
7.6204 0.0000 0.0000
0.0000 5.6797 3.4441
0.0000 -5.6797 3.4441
Ag P S I
5 1 4 2
Cartesian
0.0000 0.0000 0.0000 Ag
2.2292 -2.1487 2.9100 Ag
2.2292 2.1487 2.9100 Ag
5.3912 -2.1487 2.9100 Ag
5.3912 2.1487 2.9100 Ag
3.8102 0.0000 0.2704 P
2.1187 0.0000 1.5026 S
3.8102 -1.6260 5.8628 S
3.8102 1.6260 5.8628 S
5.5017 0.0000 1.5026 S
0.0000 -1.9426 4.6742 I
0.0000 1.9426 4.6742 I
```